SrTiFe3Bi3O12: computed powder diffractogram (λ = 1.5418 Å (Cu Kα)), based on a structure optimized by DFT (GGA+U).
Lines closer than 0.1° are merged.

Atomic structure:
```
SrTiFe3Bi3O12
1.0
2.7963 1.6144 9.2579
-2.7963 1.6144 9.2579
0.0000 -3.2288 9.2579
Sr Ti Fe Bi O
1 1 3 3 12
Direct
0.0000 0.0000 0.0000
0.3767 0.3767 0.3767
0.1212 0.1212 0.1212
0.6223 0.6223 0.6223
0.8740 0.8740 0.8740
0.2640 0.2640 0.2640
0.5132 0.5132 0.5132
0.7626 0.7626 0.7626
0.0061 0.4337 0.5322
0.0556 0.5079 0.9081
0.1766 0.7418 0.3088
0.2579 0.7954 0.6769
0.3088 0.1766 0.7418
0.4337 0.5322 0.0061
0.5079 0.9081 0.0556
0.5322 0.0061 0.4337
0.6769 0.2579 0.7954
0.7418 0.3088 0.1766
0.7954 0.6769 0.2579
0.9081 0.0556 0.5079
```

Principal peaks in the range 2θ from 10° to 80°, by angle:
d (Å)	Position (°2θ)	I (rel.)
3.972	22.38	66
2.822	31.71	97
2.796	32.01	100
2.287	39.41	31
1.986	45.68	49
1.783	51.24	27
1.619	56.86	40
1.614	57.05	23
1.398	66.92	17
1.253	75.96	16